Calculated powder XRD pattern
Compound: Ag7Hg2Au3
Radiation: a wavelength of 1.5418 Å
Structure: the PBE geometry in Alexandria
Intensities are scaled so that the largest is 100.

Crystal structure
Unit cell a=4.9843 b=2.9279 c=17.1882 alpha=90.00 beta=96.67 gamma=90.00
Sites, in units of the cell vectors:
Ag: 0.0000 0.0000 0.0000
Ag: 0.2233 0.5000 0.1448
Ag: 0.2822 0.0000 0.8597
Ag: 0.2991 0.5000 0.4301
Ag: 0.7009 0.5000 0.5699
Ag: 0.7178 0.0000 0.1403
Ag: 0.7767 0.5000 0.8552
Hg: 0.0883 0.5000 0.7166
Hg: 0.9117 0.5000 0.2834
Au: 0.2085 0.0000 0.5750
Au: 0.5000 0.5000 0.0000
Au: 0.7915 0.0000 0.4250

Peak list (6 most intense, 10° ≤ 2θ ≤ 90°, sorted by position)
2θ = 18.07°, 4.910 Å, rel. 40, (1 0 -1)
2θ = 21.77°, 4.082 Å, rel. 43, (1 0 2)
2θ = 36.85°, 2.439 Å, rel. 100, (0 0 7)
2θ = 38.20°, 2.356 Å, rel. 43, (1 1 -3)
2θ = 39.96°, 2.256 Å, rel. 83, (1 1 3)
2θ = 40.48°, 2.229 Å, rel. 52, (1 1 -4)